(1)
# Na5LaW4O16
Computed powder XRD pattern, a wavelength of 1.5418 Å. Input: a DFT-relaxed cell (GGA+U, the Materials Project).
No peak broadening, texture or thermal motion is included.

Atomic structure:
```
data_Na5LaW4O16
_chemical_formula_sum 'Na20 La4 W16 O64'
_cell_length_a 11.8574
_cell_length_b 11.8574
_cell_length_c 11.6290
_cell_angle_alpha 90.00
_cell_angle_beta 90.00
_cell_angle_gamma 90.00
_space_group_name_H-M_alt 'I 41/a'
_space_group_IT_number 88
loop_
_space_group_symop_operation_xyz
'x,y,z'
'-x,-y,-z'
'-y+3/4,x+1/4,z+1/4'
'y+3/4,-x+1/4,-z+1/4'
'-x+1/2,-y,z+1/2'
'x+1/2,y,-z+1/2'
'y+3/4,-x+3/4,z+3/4'
'-y+3/4,x+3/4,-z+3/4'
'x+1/2,y+1/2,z+1/2'
'-x+1/2,-y+1/2,-z+1/2'
'-y+1/4,x+3/4,z+3/4'
'y+1/4,-x+3/4,-z+3/4'
'-x,-y+1/2,z'
'x,y+1/2,-z'
'y+1/4,-x+1/4,z+1/4'
'-y+1/4,x+1/4,-z+1/4'
loop_
_atom_site_label
_atom_site_type_symbol
_atom_site_fract_x
_atom_site_fract_y
_atom_site_fract_z
_atom_site_occupancy
Na1 Na 0.0000 0.2500 0.1250 1
Na2 Na 0.1211 0.4538 0.8423 1
La1 La 0.0000 0.2500 0.6250 1
W1 W 0.0980 0.4322 0.3573 1
O1 O 0.0239 0.1002 0.2688 1
O2 O 0.0617 0.1347 0.7958 1
O3 O 0.0852 0.0665 0.5631 1
O4 O 0.1827 0.0300 0.9848 1
```

Main lines, sorted by position (2θ from 10° to 90°):
two_theta	d (Å)	I (rel.)
10.66	8.303	27
18.39	4.825	66
23.78	3.742	16
28.32	3.151	100
28.52	3.129	20
30.75	2.907	12
33.81	2.651	21
46.35	1.959	25
48.56	1.875	11
57.17	1.611	24

(2)
# V2CrFe3P6O24
Computed powder XRD pattern, a wavelength of 1.5418 Å. Input: a DFT-relaxed cell (GGA+U, the Materials Project).
No peak broadening, texture or thermal motion is included.

Atomic structure:
```
data_V2CrFe3P6O24
_chemical_formula_sum 'V6 Cr3 Fe9 P18 O72'
_cell_length_a 8.6474
_cell_length_b 8.6474
_cell_length_c 20.3994
_cell_angle_alpha 90.00
_cell_angle_beta 90.00
_cell_angle_gamma 120.00
_space_group_name_H-M_alt 'R 3'
_space_group_IT_number 146
_space_group_name_Hall 'R 3'
loop_
_atom_site_label
_atom_site_type_symbol
_atom_site_fract_x
_atom_site_fract_y
_atom_site_fract_z
_atom_site_occupancy
V1 V 0.0000 0.0000 0.0000 1
V2 V 0.0000 0.0000 0.4983 1
Cr1 Cr 0.0000 0.0000 0.6418 1
Fe1 Fe 0.0000 0.0000 0.1465 1
Fe2 Fe 0.0000 0.0000 0.3537 1
Fe3 Fe 0.0000 0.0000 0.8527 1
P1 P 0.0012 0.2961 0.7489 1
P2 P 0.0357 0.6673 0.9171 1
O1 O 0.0101 0.8057 0.3119 1
O2 O 0.0102 0.8326 0.9277 1
O3 O 0.0110 0.1794 0.4269 1
O4 O 0.0119 0.2053 0.8114 1
O5 O 0.1373 0.6756 0.8549 1
O6 O 0.1391 0.4643 0.3541 1
O7 O 0.1662 0.6766 0.2394 1
O8 O 0.1667 0.4883 0.7385 1
```

Main lines, sorted by position (2θ from 10° to 90°):
two_theta	d (Å)	I (rel.)
20.54	4.324	75
24.40	3.649	100
31.92	2.804	15
33.53	2.673	65
35.98	2.496	38
48.02	1.895	25
50.00	1.824	26
56.29	1.634	22
57.20	1.610	12
63.12	1.473	20

(3)
# Li2CoH8S2O12
Computed powder XRD pattern, a wavelength of 1.5418 Å. Input: a DFT-relaxed cell (GGA+U, the Materials Project).
No peak broadening, texture or thermal motion is included.

Atomic structure:
```
data_Li2CoH8S2O12
_chemical_formula_sum 'Li4 Co2 H16 S4 O24'
_cell_length_a 5.4488
_cell_length_b 8.1533
_cell_length_c 10.6274
_cell_angle_alpha 90.00
_cell_angle_beta 99.77
_cell_angle_gamma 90.00
_space_group_name_H-M_alt 'P 1 21/c 1'
_space_group_IT_number 14
loop_
_space_group_symop_operation_xyz
'x,y,z'
'-x,-y,-z'
'-x,y+1/2,-z+1/2'
'x,-y+1/2,z+1/2'
loop_
_atom_site_label
_atom_site_type_symbol
_atom_site_fract_x
_atom_site_fract_y
_atom_site_fract_z
_atom_site_occupancy
Li1 Li 0.1044 0.0637 0.3655 1
Co1 Co 0.0000 0.0000 0.0000 1
H1 H 0.2225 0.6403 0.3366 1
H2 H 0.2235 0.0558 0.8129 1
H3 H 0.2351 0.7154 0.0156 1
H4 H 0.3279 0.6984 0.6442 1
S1 S 0.3713 0.2101 0.6330 1
O1 O 0.1149 0.5413 0.3249 1
O2 O 0.1733 0.7210 0.5831 1
O3 O 0.1963 0.0848 0.5690 1
O4 O 0.3280 0.1279 0.0687 1
O5 O 0.3429 0.2266 0.7709 1
O6 O 0.3633 0.6614 0.8700 1
```

Main lines, sorted by position (2θ from 10° to 90°):
two_theta	d (Å)	I (rel.)
13.76	6.434	55
19.80	4.485	27
20.15	4.406	80
21.60	4.114	78
22.65	3.926	58
27.47	3.247	100
27.76	3.214	34
27.96	3.192	49
35.19	2.550	24
35.50	2.529	48

(4)
# Fe10OF19
Computed powder XRD pattern, a wavelength of 1.5418 Å. Input: a DFT-relaxed cell (GGA+U, the Materials Project).
No peak broadening, texture or thermal motion is included.

Atomic structure:
```
data_Fe10OF19
_chemical_formula_sum 'Fe20 O2 F38'
_cell_length_a 3.2702
_cell_length_b 34.1637
_cell_length_c 6.8034
_cell_angle_alpha 90.00
_cell_angle_beta 90.00
_cell_angle_gamma 90.00
_space_group_name_H-M_alt 'A m m 2'
_space_group_IT_number 38
loop_
_space_group_symop_operation_xyz
'x,y,z'
'-x,-y,z'
'-x,y,z'
'x,-y,z'
'x,y+1/2,z+1/2'
'-x,-y+1/2,z+1/2'
'-x,y+1/2,z+1/2'
'x,-y+1/2,z+1/2'
loop_
_atom_site_label
_atom_site_type_symbol
_atom_site_fract_x
_atom_site_fract_y
_atom_site_fract_z
_atom_site_occupancy
Fe1 Fe 0.0000 0.0000 0.0000 1
Fe2 Fe 0.0000 0.0998 0.4890 1
Fe3 Fe 0.0000 0.2000 0.9881 1
Fe4 Fe 0.5000 0.0000 0.4597 1
Fe5 Fe 0.5000 0.1000 0.9879 1
Fe6 Fe 0.5000 0.2001 0.4880 1
O1 O 0.0000 0.0000 0.3023 1
F1 F 0.0000 0.0000 0.6819 1
F2 F 0.0000 0.1002 0.1907 1
F3 F 0.0000 0.1011 0.7867 1
F4 F 0.0000 0.2001 0.2872 1
F5 F 0.0000 0.2001 0.6890 1
F6 F 0.5000 0.0406 0.9815 1
F7 F 0.5000 0.0588 0.4954 1
F8 F 0.5000 0.1402 0.4874 1
F9 F 0.5000 0.1599 0.9892 1
F10 F 0.5000 0.2402 0.9881 1
```

Main lines, sorted by position (2θ from 10° to 90°):
two_theta	d (Å)	I (rel.)
26.08	3.416	83
26.20	3.402	84
33.10	2.706	100
38.13	2.360	37
50.65	1.802	58
50.78	1.798	57
53.66	1.708	18
56.26	1.635	20
63.05	1.474	23
64.62	1.442	40

(5)
# Mn2ZnO4
Computed powder XRD pattern, a wavelength of 1.5418 Å. Input: a DFT-relaxed cell (GGA+U, the Materials Project).
No peak broadening, texture or thermal motion is included.

Atomic structure:
```
data_Mn2ZnO4
_chemical_formula_sum 'Mn24 Zn12 O48'
_cell_length_a 10.5445
_cell_length_b 6.0529
_cell_length_c 14.8659
_cell_angle_alpha 90.00
_cell_angle_beta 90.90
_cell_angle_gamma 90.00
_space_group_name_H-M_alt 'C 1 m 1'
_space_group_IT_number 8
loop_
_space_group_symop_operation_xyz
'x,y,z'
'x,-y,z'
'x+1/2,y+1/2,z'
'x+1/2,-y+1/2,z'
loop_
_atom_site_label
_atom_site_type_symbol
_atom_site_fract_x
_atom_site_fract_y
_atom_site_fract_z
_atom_site_occupancy
Mn1 Mn 0.0000 0.0000 0.0000 1
Mn2 Mn 0.0073 0.0000 0.6221 1
Mn3 Mn 0.0147 0.0000 0.2439 1
Mn4 Mn 0.0919 0.2499 0.4564 1
Mn5 Mn 0.1817 0.5000 0.9111 1
Mn6 Mn 0.2573 0.2507 0.1217 1
Mn7 Mn 0.3330 0.0000 0.3316 1
Mn8 Mn 0.3473 0.0000 0.5792 1
Mn9 Mn 0.4228 0.2491 0.7877 1
Zn1 Zn 0.0074 0.5000 0.1217 1
Zn2 Zn 0.1652 0.5000 0.6645 1
Zn3 Zn 0.1725 0.5000 0.2888 1
Zn4 Zn 0.1740 0.0000 0.7902 1
Zn5 Zn 0.3404 0.5000 0.4536 1
Zn6 Zn 0.3424 0.0000 0.9550 1
O1 O 0.0009 0.5000 0.8605 1
O2 O 0.0139 0.5000 0.3837 1
O3 O 0.0176 0.0000 0.3843 1
O4 O 0.0722 0.2287 0.7069 1
O5 O 0.1081 0.2657 0.1970 1
O6 O 0.1632 0.0000 0.5342 1
O7 O 0.1646 0.5000 0.5293 1
O8 O 0.1842 0.0000 0.0491 1
O9 O 0.1852 0.5000 0.0490 1
O10 O 0.2405 0.2641 0.3819 1
O11 O 0.2745 0.2361 0.8624 1
O12 O 0.3296 0.0000 0.1941 1
O13 O 0.3305 0.5000 0.1944 1
O14 O 0.3484 0.5000 0.7085 1
O15 O 0.3512 0.0000 0.7167 1
O16 O 0.4066 0.2341 0.0466 1
O17 O 0.4437 0.2736 0.5366 1
O18 O 0.4972 0.5000 0.8589 1
```

Main lines, sorted by position (2θ from 10° to 90°):
two_theta	d (Å)	I (rel.)
17.90	4.955	38
29.36	3.042	47
34.42	2.606	87
34.74	2.582	74
34.82	2.577	100
42.31	2.136	38
55.14	1.666	28
55.84	1.646	32
60.86	1.522	39
60.97	1.520	38

What did the first record say?
# Na5LaW4O16
Computed powder XRD pattern, a wavelength of 1.5418 Å. Input: a DFT-relaxed cell (GGA+U, the Materials Project).
No peak broadening, texture or thermal motion is included.

Atomic structure:
```
data_Na5LaW4O16
_chemical_formula_sum 'Na20 La4 W16 O64'
_cell_length_a 11.8574
_cell_length_b 11.8574
_cell_length_c 11.6290
_cell_angle_alpha 90.00
_cell_angle_beta 90.00
_cell_angle_gamma 90.00
_space_group_name_H-M_alt 'I 41/a'
_space_group_IT_number 88
loop_
_space_group_symop_operation_xyz
'x,y,z'
'-x,-y,-z'
'-y+3/4,x+1/4,z+1/4'
'y+3/4,-x+1/4,-z+1/4'
'-x+1/2,-y,z+1/2'
'x+1/2,y,-z+1/2'
'y+3/4,-x+3/4,z+3/4'
'-y+3/4,x+3/4,-z+3/4'
'x+1/2,y+1/2,z+1/2'
'-x+1/2,-y+1/2,-z+1/2'
'-y+1/4,x+3/4,z+3/4'
'y+1/4,-x+3/4,-z+3/4'
'-x,-y+1/2,z'
'x,y+1/2,-z'
'y+1/4,-x+1/4,z+1/4'
'-y+1/4,x+1/4,-z+1/4'
loop_
_atom_site_label
_atom_site_type_symbol
_atom_site_fract_x
_atom_site_fract_y
_atom_site_fract_z
_atom_site_occupancy
Na1 Na 0.0000 0.2500 0.1250 1
Na2 Na 0.1211 0.4538 0.8423 1
La1 La 0.0000 0.2500 0.6250 1
W1 W 0.0980 0.4322 0.3573 1
O1 O 0.0239 0.1002 0.2688 1
O2 O 0.0617 0.1347 0.7958 1
O3 O 0.0852 0.0665 0.5631 1
O4 O 0.1827 0.0300 0.9848 1
```

Main lines, sorted by position (2θ from 10° to 90°):
two_theta	d (Å)	I (rel.)
10.66	8.303	27
18.39	4.825	66
23.78	3.742	16
28.32	3.151	100
28.52	3.129	20
30.75	2.907	12
33.81	2.651	21
46.35	1.959	25
48.56	1.875	11
57.17	1.611	24

Repeat the fourth record exactly.
# Fe10OF19
Computed powder XRD pattern, a wavelength of 1.5418 Å. Input: a DFT-relaxed cell (GGA+U, the Materials Project).
No peak broadening, texture or thermal motion is included.

Atomic structure:
```
data_Fe10OF19
_chemical_formula_sum 'Fe20 O2 F38'
_cell_length_a 3.2702
_cell_length_b 34.1637
_cell_length_c 6.8034
_cell_angle_alpha 90.00
_cell_angle_beta 90.00
_cell_angle_gamma 90.00
_space_group_name_H-M_alt 'A m m 2'
_space_group_IT_number 38
loop_
_space_group_symop_operation_xyz
'x,y,z'
'-x,-y,z'
'-x,y,z'
'x,-y,z'
'x,y+1/2,z+1/2'
'-x,-y+1/2,z+1/2'
'-x,y+1/2,z+1/2'
'x,-y+1/2,z+1/2'
loop_
_atom_site_label
_atom_site_type_symbol
_atom_site_fract_x
_atom_site_fract_y
_atom_site_fract_z
_atom_site_occupancy
Fe1 Fe 0.0000 0.0000 0.0000 1
Fe2 Fe 0.0000 0.0998 0.4890 1
Fe3 Fe 0.0000 0.2000 0.9881 1
Fe4 Fe 0.5000 0.0000 0.4597 1
Fe5 Fe 0.5000 0.1000 0.9879 1
Fe6 Fe 0.5000 0.2001 0.4880 1
O1 O 0.0000 0.0000 0.3023 1
F1 F 0.0000 0.0000 0.6819 1
F2 F 0.0000 0.1002 0.1907 1
F3 F 0.0000 0.1011 0.7867 1
F4 F 0.0000 0.2001 0.2872 1
F5 F 0.0000 0.2001 0.6890 1
F6 F 0.5000 0.0406 0.9815 1
F7 F 0.5000 0.0588 0.4954 1
F8 F 0.5000 0.1402 0.4874 1
F9 F 0.5000 0.1599 0.9892 1
F10 F 0.5000 0.2402 0.9881 1
```

Main lines, sorted by position (2θ from 10° to 90°):
two_theta	d (Å)	I (rel.)
26.08	3.416	83
26.20	3.402	84
33.10	2.706	100
38.13	2.360	37
50.65	1.802	58
50.78	1.798	57
53.66	1.708	18
56.26	1.635	20
63.05	1.474	23
64.62	1.442	40